Starting from the GGA-PBE geometry in Alexandria, the X-ray diffraction stick pattern of Rb2TlI5 was simulated for Cu Kα (weighted mean of Kα1 and Kα2).
No peak broadening, texture or thermal motion is included.

Principal peaks in the range 2θ = 10–80°, sorted by position:
| 2θ (°) | intensity |
| --- | --- |
| 14.9 | 87.8 |
| 16.4 | 54.6 |
| 18.9 | 43.5 |
| 19.7 | 42.1 |
| 20.2 | 86.6 |
| 21.1 | 46.1 |
| 23.2 | 44.3 |
| 25.2 | 52.9 |
| 28.6 | 100.0 |
| 30.2 | 46.1 |

Structural model:
Cell: 14.951 10.891 11.470 Å, 90.00 109.41 90.00°
Sites, in units of the cell vectors:
1 Rb 0.012 0.092 0.222
2 Rb 0.012 0.408 0.722
3 Rb 0.352 0.142 0.034
4 Rb 0.352 0.358 0.534
5 Rb 0.648 0.642 0.466
6 Rb 0.648 0.858 0.966
7 Rb 0.988 0.592 0.278
8 Rb 0.988 0.908 0.778
9 Tl 0.302 0.583 0.029
10 Tl 0.302 0.917 0.529
11 Tl 0.698 0.083 0.471
12 Tl 0.698 0.417 0.971
13 I 0.093 0.174 0.960
14 I 0.093 0.326 0.460
15 I 0.122 0.663 0.032
16 I 0.122 0.837 0.532
17 I 0.278 0.078 0.320
18 I 0.278 0.422 0.820
19 I 0.393 0.703 0.472
20 I 0.393 0.797 0.972
21 I 0.423 0.057 0.732
22 I 0.423 0.443 0.232
23 I 0.577 0.557 0.768
24 I 0.577 0.943 0.268
25 I 0.607 0.203 0.028
26 I 0.607 0.297 0.528
27 I 0.722 0.578 0.180
28 I 0.722 0.922 0.680
29 I 0.878 0.163 0.468
30 I 0.878 0.337 0.968
31 I 0.907 0.674 0.540
32 I 0.907 0.826 0.040

---

Starting from the GGA-PBE geometry in Alexandria, the X-ray diffraction stick pattern of U2GaBr8 was simulated for Cu Kα (weighted mean of Kα1 and Kα2).
No peak broadening, texture or thermal motion is included.

Principal peaks in the range 2θ = 10–80°, sorted by position:
| 2θ (°) | intensity |
| --- | --- |
| 10.6 | 28.6 |
| 18.4 | 88.9 |
| 18.7 | 100.0 |
| 21.3 | 54.5 |
| 30.9 | 32.8 |
| 32.3 | 47.3 |
| 37.4 | 77.5 |
| 37.8 | 42.9 |
| 49.2 | 52.9 |
| 50.2 | 31.4 |

Structural model:
Cell: 9.626 9.626 5.790 Å, 90.00 90.00 120.00°
Sites, in units of the cell vectors:
1 U 0.333 0.667 0.265
2 U 0.667 0.333 0.735
3 Ga 0.000 0.000 0.500
4 Br 0.169 0.341 0.247
5 Br 0.171 0.831 0.247
6 Br 0.333 0.667 0.756
7 Br 0.341 0.171 0.753
8 Br 0.659 0.829 0.247
9 Br 0.667 0.333 0.244
10 Br 0.829 0.169 0.753
11 Br 0.831 0.659 0.753

---

Starting from the GGA-PBE geometry in Alexandria, the X-ray diffraction stick pattern of PmThTl was simulated for Cu Kα (weighted mean of Kα1 and Kα2).
No peak broadening, texture or thermal motion is included.

Principal peaks in the range 2θ = 10–80°, sorted by position:
| 2θ (°) | intensity |
| --- | --- |
| 10.2 | 17.9 |
| 28.7 | 95.4 |
| 30.8 | 34.7 |
| 32.0 | 18.7 |
| 33.9 | 100.0 |
| 38.3 | 59.4 |
| 49.9 | 36.9 |
| 55.3 | 20.9 |
| 63.5 | 21.0 |
| 66.5 | 29.6 |

Structural model:
Cell: 4.701 4.701 17.424 Å, 90.00 90.00 90.00°
Sites, in units of the cell vectors:
1 Pm 0.000 0.000 0.178
2 Pm 0.000 0.000 0.822
3 Pm 0.500 0.500 0.322
4 Pm 0.500 0.500 0.678
5 Th 0.000 0.500 0.000
6 Th 0.000 0.500 0.500
7 Th 0.500 0.000 0.000
8 Th 0.500 0.000 0.500
9 Tl 0.000 0.000 0.360
10 Tl 0.000 0.000 0.640
11 Tl 0.500 0.500 0.140
12 Tl 0.500 0.500 0.860

---

Starting from the GGA-PBE geometry in Alexandria, the X-ray diffraction stick pattern of TbPr8Sb6 was simulated for Cu Kα (weighted mean of Kα1 and Kα2).
No peak broadening, texture or thermal motion is included.

Principal peaks in the range 2θ = 10–80°, sorted by position:
| 2θ (°) | intensity |
| --- | --- |
| 23.9 | 34.8 |
| 29.9 | 100.0 |
| 37.7 | 58.4 |
| 38.0 | 20.1 |
| 47.4 | 18.4 |
| 48.8 | 25.3 |
| 63.3 | 22.8 |
| 66.7 | 12.3 |
| 68.1 | 10.0 |
| 75.0 | 9.2 |

Structural model:
Cell: 9.896 9.896 9.896 Å, 49.34 49.34 49.34°
Sites, in units of the cell vectors:
1 Tb 0.000 0.000 0.000
2 Pr 0.120 0.460 0.783
3 Pr 0.217 0.880 0.540
4 Pr 0.333 0.333 0.333
5 Pr 0.460 0.783 0.120
6 Pr 0.540 0.217 0.880
7 Pr 0.667 0.667 0.667
8 Pr 0.783 0.120 0.460
9 Pr 0.880 0.540 0.217
10 Sb 0.067 0.739 0.392
11 Sb 0.261 0.608 0.933
12 Sb 0.392 0.067 0.739
13 Sb 0.608 0.933 0.261
14 Sb 0.739 0.392 0.067
15 Sb 0.933 0.261 0.608

---

Starting from the GGA-PBE geometry in Alexandria, the X-ray diffraction stick pattern of Ta14Cu3S24 was simulated for Cu Kα (weighted mean of Kα1 and Kα2).
No peak broadening, texture or thermal motion is included.

Principal peaks in the range 2θ = 10–80°, sorted by position:
| 2θ (°) | intensity |
| --- | --- |
| 13.7 | 100.0 |
| 27.6 | 23.9 |
| 30.9 | 30.8 |
| 31.1 | 58.8 |
| 33.2 | 18.5 |
| 35.0 | 23.5 |
| 38.8 | 17.9 |
| 40.5 | 18.2 |
| 45.6 | 23.1 |
| 54.9 | 27.4 |

Structural model:
Cell: 6.685 8.824 13.073 Å, 92.35 97.88 101.35°
Sites, in units of the cell vectors:
1 Ta 0.000 0.000 0.000
2 Ta 0.029 0.608 0.513
3 Ta 0.158 0.672 0.005
4 Ta 0.200 0.277 0.510
5 Ta 0.286 0.324 0.759
6 Ta 0.329 0.335 0.007
7 Ta 0.371 0.947 0.516
8 Ta 0.490 0.995 0.002
9 Ta 0.532 0.608 0.511
10 Ta 0.578 0.620 0.759
11 Ta 0.663 0.665 0.007
12 Ta 0.707 0.272 0.512
13 Ta 0.838 0.335 0.004
14 Ta 0.866 0.945 0.516
15 Cu 0.225 0.692 0.222
16 Cu 0.638 0.258 0.294
17 Cu 0.808 0.917 0.295
18 S 0.016 0.401 0.635
19 S 0.022 0.212 0.878
20 S 0.088 0.233 0.125
21 S 0.115 0.042 0.392
22 S 0.180 0.874 0.880
23 S 0.184 0.072 0.638
24 S 0.254 0.911 0.127
25 S 0.274 0.711 0.394
26 S 0.340 0.549 0.884
27 S 0.344 0.732 0.635
28 S 0.423 0.568 0.128
29 S 0.439 0.376 0.389
30 S 0.520 0.212 0.883
31 S 0.524 0.394 0.634
32 S 0.589 0.233 0.123
33 S 0.603 0.036 0.389
34 S 0.679 0.870 0.880
35 S 0.684 0.068 0.636
36 S 0.755 0.904 0.123
37 S 0.774 0.703 0.392
38 S 0.841 0.731 0.638
39 S 0.848 0.543 0.882
40 S 0.914 0.564 0.128
41 S 0.951 0.378 0.389

---

Starting from the GGA-PBE geometry in Alexandria, the X-ray diffraction stick pattern of KTi2I8 was simulated for Cu Kα (weighted mean of Kα1 and Kα2).
No peak broadening, texture or thermal motion is included.

Principal peaks in the range 2θ = 10–80°, sorted by position:
| 2θ (°) | intensity |
| --- | --- |
| 15.2 | 35.3 |
| 19.3 | 26.2 |
| 22.6 | 55.4 |
| 23.7 | 34.7 |
| 25.6 | 100.0 |
| 31.5 | 27.3 |
| 37.2 | 21.4 |
| 41.6 | 38.0 |
| 46.2 | 41.4 |
| 66.6 | 22.5 |

Structural model:
Cell: 8.679 8.679 9.209 Å, 90.00 90.00 120.00°
Sites, in units of the cell vectors:
1 K 0.000 0.000 0.000
2 Ti 0.333 0.667 0.811
3 Ti 0.667 0.333 0.189
4 I 0.171 0.342 0.713
5 I 0.171 0.829 0.713
6 I 0.333 0.667 0.091
7 I 0.342 0.171 0.287
8 I 0.658 0.829 0.713
9 I 0.667 0.333 0.909
10 I 0.829 0.171 0.287
11 I 0.829 0.658 0.287

---

Starting from the GGA-PBE geometry in Alexandria, the X-ray diffraction stick pattern of Tm4IrPb was simulated for Cu Kα (weighted mean of Kα1 and Kα2).
No peak broadening, texture or thermal motion is included.

Principal peaks in the range 2θ = 10–80°, sorted by position:
| 2θ (°) | intensity |
| --- | --- |
| 26.8 | 27.1 |
| 32.0 | 27.4 |
| 32.2 | 100.0 |
| 32.4 | 40.6 |
| 33.1 | 62.6 |
| 34.2 | 78.3 |
| 34.4 | 85.2 |
| 35.8 | 34.8 |
| 38.6 | 49.3 |
| 55.2 | 27.1 |

Structural model:
Cell: 5.631 6.651 8.555 Å, 90.00 100.65 90.00°
Sites, in units of the cell vectors:
1 Tm 0.144 0.250 0.061
2 Tm 0.209 0.750 0.344
3 Tm 0.331 0.507 0.766
4 Tm 0.331 0.993 0.766
5 Tm 0.669 0.007 0.234
6 Tm 0.669 0.493 0.234
7 Tm 0.791 0.250 0.656
8 Tm 0.856 0.750 0.939
9 Ir 0.353 0.750 0.042
10 Ir 0.647 0.250 0.958
11 Pb 0.229 0.250 0.430
12 Pb 0.771 0.750 0.570

---

Starting from the GGA-PBE geometry in Alexandria, the X-ray diffraction stick pattern of Cs2Ga2I7 was simulated for Cu Kα (weighted mean of Kα1 and Kα2).
No peak broadening, texture or thermal motion is included.

Principal peaks in the range 2θ = 10–80°, sorted by position:
| 2θ (°) | intensity |
| --- | --- |
| 17.0 | 54.8 |
| 18.5 | 79.1 |
| 19.7 | 41.2 |
| 22.0 | 67.3 |
| 23.6 | 100.0 |
| 25.3 | 30.8 |
| 27.1 | 38.8 |
| 27.9 | 60.4 |
| 28.4 | 31.2 |
| 29.3 | 33.3 |

Structural model:
Cell: 7.048 18.096 9.934 Å, 90.00 104.86 90.00°
Sites, in units of the cell vectors:
1 Cs 0.129 0.148 0.465
2 Cs 0.129 0.352 0.965
3 Cs 0.871 0.648 0.035
4 Cs 0.871 0.852 0.535
5 Ga 0.312 0.608 0.616
6 Ga 0.312 0.892 0.116
7 Ga 0.688 0.108 0.884
8 Ga 0.688 0.392 0.384
9 I 0.026 0.147 0.056
10 I 0.026 0.353 0.556
11 I 0.257 0.557 0.856
12 I 0.257 0.943 0.356
13 I 0.478 0.230 0.804
14 I 0.478 0.270 0.304
15 I 0.500 0.000 0.000
16 I 0.500 0.500 0.500
17 I 0.522 0.730 0.696
18 I 0.522 0.770 0.196
19 I 0.743 0.057 0.644
20 I 0.743 0.443 0.144
21 I 0.974 0.647 0.444
22 I 0.974 0.853 0.944